Calculated powder diffraction line list of Ag8SeS6 for copper Kα, from a crystal structure in Alexandria, relaxed with PBE.
Intensities are scaled so that the largest is 100.

Cell and atoms:
Cell lengths 6.780, 6.780, 6.780 Å; angles 99.66, 99.66, 99.66 degrees
Atoms (fractional coordinates):
Ag (0.153, 0.153, 0.153)
Ag (0.154, 0.276, 0.595)
Ag (0.276, 0.595, 0.154)
Ag (0.405, 0.846, 0.724)
Ag (0.595, 0.154, 0.276)
Ag (0.724, 0.405, 0.846)
Ag (0.846, 0.724, 0.405)
Ag (0.847, 0.847, 0.847)
Se (0.500, 0.500, 0.500)
S (0.076, 0.593, 0.798)
S (0.202, 0.924, 0.407)
S (0.407, 0.202, 0.924)
S (0.593, 0.798, 0.076)
S (0.798, 0.076, 0.593)
S (0.924, 0.407, 0.202)

Peak list (6 most intense, 2θ from 10° to 90°, by intensity)
2θ = 32.4°, I 100
2θ = 46.4°, I 84
2θ = 27.9°, I 60
2θ = 33.0°, I 40
2θ = 55.0°, I 35
2θ = 77.1°, I 30